1.
Computed XRD peak list of KRb2TcF6 for a wavelength of 1.5418 Å, from the GGA-PBE geometry in OQMD.
No peak broadening, texture or thermal motion is included.

Cell and atoms:
```
KRb2TcF6
1.0
5.2959 -3.0715 0.0000
5.2959 3.0715 0.0000
-3.5227 0.0000 5.0442
K Rb Tc F
1 2 1 6
Direct
0.0000 0.0000 0.0000 K
0.2497 0.2497 0.7486 Rb
0.7503 0.7503 0.2514 Rb
0.5000 0.5000 0.5000 Tc
0.2700 0.2700 0.2684 F
0.2699 0.7304 0.2693 F
0.2696 0.7301 0.7307 F
0.7304 0.2699 0.2693 F
0.7301 0.2696 0.7307 F
0.7300 0.7300 0.7316 F
```

The 10 most intense peaks (10 to 90 degrees two-theta), in order of rising 2θ:
2θ/deg, d (Å), Rel. int.
17.71, 5.009, 239
28.98, 3.081, 1000
29.07, 3.072, 331
29.17, 3.061, 656
41.57, 2.173, 861
51.27, 1.782, 193
51.51, 1.774, 254
51.64, 1.770, 253
60.01, 1.542, 172
60.21, 1.537, 170

2.
Computed XRD peak list of InAg7 for a wavelength of 1.5418 Å, from the GGA-PBE geometry in OQMD.
No peak broadening, texture or thermal motion is included.

Cell and atoms:
```
InAg7
1.0
2.9113 0.0000 0.0000
0.0000 4.0182 0.0000
0.0000 0.0000 34.3936
In Ag
2 14
Direct
0.2500 0.2500 0.1657 In
0.7500 0.7500 0.8343 In
0.2500 0.2500 0.2602 Ag
0.2500 0.2500 0.3477 Ag
0.2500 0.2500 0.4348 Ag
0.2500 0.2500 0.5216 Ag
0.2500 0.2500 0.6085 Ag
0.2500 0.2500 0.6958 Ag
0.2500 0.2500 0.7845 Ag
0.7500 0.7500 0.2155 Ag
0.7500 0.7500 0.3042 Ag
0.7500 0.7500 0.3915 Ag
0.7500 0.7500 0.4784 Ag
0.7500 0.7500 0.5652 Ag
0.7500 0.7500 0.6523 Ag
0.7500 0.7500 0.7398 Ag
```

The 10 most intense peaks (10 to 90 degrees two-theta), in order of rising 2θ:
2θ/deg, d (Å), Rel. int.
36.41, 2.468, 697
38.19, 2.356, 1000
38.58, 2.334, 460
42.42, 2.131, 448
44.35, 2.042, 261
45.14, 2.008, 309
63.66, 1.462, 252
65.13, 1.432, 161
75.25, 1.263, 170
75.89, 1.254, 150

3.
Computed XRD peak list of Al3InPd4 for a wavelength of 1.5418 Å, from the GGA-PBE geometry in OQMD.
No peak broadening, texture or thermal motion is included.

Cell and atoms:
```
Al3InPd4
1.0
3.5134 2.0285 2.9257
-3.5134 2.0285 2.9257
0.0000 -4.0570 2.9257
Al In Pd
3 1 4
Direct
0.1079 0.2903 0.6018 Al
0.2903 0.6018 0.1079 Al
0.6018 0.1079 0.2903 Al
0.7945 0.7945 0.7945 In
0.1027 0.1027 0.1027 Pd
0.3008 0.8008 0.5774 Pd
0.5774 0.3008 0.8008 Pd
0.8008 0.5774 0.3008 Pd
```

The 10 most intense peaks (10 to 90 degrees two-theta), in order of rising 2θ:
2θ/deg, d (Å), Rel. int.
25.35, 3.513, 415
31.11, 2.875, 260
35.91, 2.500, 183
40.11, 2.248, 1000
40.55, 2.225, 787
43.86, 2.064, 244
44.47, 2.037, 396
44.67, 2.028, 298
69.62, 1.350, 178
70.98, 1.328, 164